For RbCd4Au, DFT lattice parameters and positions (GGA-PBE) gives the theoretical powder X-ray diffraction pattern in this record (Cu Kα (weighted mean of Kα1 and Kα2)).

Unit cell a=17.687 b=7.635 c=5.619 alpha=90.00 beta=101.43 gamma=90.00
Space group C2/m (No. 12)
Unique sites:
1 Rb 0.216 0.000 0.162
2 Cd 0.000 0.199 0.000
3 Cd 0.092 0.180 0.579
4 Cd 0.098 0.500 0.303
5 Au 0.084 0.500 0.808

Top 10 peaks for 10° ≤ 2θ ≤ 90°, in order of rising 2θ:
2theta  d_spacing  I_rel
10.20  8.668  100.0
12.67  6.987  28.2
28.27  3.157  26.6
28.62  3.119  34.9
29.98  2.981  20.7
30.95  2.889  20.1
34.03  2.635  44.2
35.66  2.518  43.0
40.02  2.253  31.3
40.39  2.233  22.0